Computed X-ray diffraction stick pattern
Compound: Na7W8O24
Radiation: Cu Kα (λ = 1.5418 Å)
Structure: a crystal structure in Alexandria, relaxed with PBE+U
Lines closer than 0.1° are merged.

Main lines, low angle first (5° ≤ 2θ ≤ 70°):
22.38 deg, intensity 100.0
22.66 deg, intensity 48.3
31.76 deg, intensity 22.8
32.02 deg, intensity 67.5
32.07 deg, intensity 44.3
45.67 deg, intensity 29.9
51.55 deg, intensity 21.1
51.98 deg, intensity 20.6
56.76 deg, intensity 18.5
57.01 deg, intensity 18.2

Atomic structure:
```
39
Lattice="7.941 -3.924 0.000 7.941 3.924 0.000 -4.018 0.000 7.951" Properties=species:S:1:pos:R:3 pbc="T T T"
Na 0.000 0.000 0.000
Na 0.010 0.000 3.973
Na 3.960 0.000 0.009
Na 3.915 0.000 3.967
Na 7.948 0.000 3.984
Na 7.903 0.000 7.943
Na 11.853 0.000 3.978
W 1.960 1.961 5.983
W 5.949 1.952 1.986
W 5.914 1.952 5.965
W 9.903 1.961 1.968
W 1.960 -1.961 5.983
W 5.949 -1.952 1.986
W 5.914 -1.952 5.965
W 9.903 -1.961 1.968
O 1.961 1.962 3.976
O -2.005 0.000 5.747
O 3.999 1.959 2.000
O 5.925 2.142 0.057
O 3.988 1.989 5.917
O 1.967 0.000 2.031
O 5.932 1.759 3.976
O 7.875 1.989 2.035
O 1.929 0.000 6.047
O 5.938 2.142 7.894
O 5.917 0.000 1.841
O 7.864 1.959 5.951
O 1.961 -1.962 3.976
O 3.999 -1.959 2.000
O 5.946 0.000 6.110
O 5.925 -2.142 0.057
O 9.934 0.000 1.904
O 3.988 -1.989 5.917
O 5.932 -1.759 3.976
O 9.896 0.000 5.920
O 7.875 -1.989 2.035
O 5.938 -2.142 7.894
O 7.864 -1.959 5.951
O 13.868 0.000 2.204
```